[1]
Simulated X-ray powder pattern of TeAs2Pd7 for Cu Kα (weighted mean of Kα1 and Kα2), from a cell relaxed with GGA-PBE.
Intensities are scaled so that the largest is 100.

Most intense lines, 10° ≤ 2θ ≤ 90°, by intensity:
d_spacing, I (rel.)
2.202, 100
2.078, 55
1.222, 29
2.532, 20
1.469, 18
2.819, 15
2.495, 13
1.597, 13
3.524, 13
1.283, 11
2.938, 10
1.299, 8

Crystal structure
```
TeAs2Pd7
1.0
-2.0776 2.0776 9.9810
2.0776 -2.0776 9.9810
2.0776 2.0776 -9.9810
Te As Pd
1 2 7
Cartesian
0.0000 0.0000 0.0000
0.0000 0.0000 6.5208
0.0000 0.0000 13.4413
2.0776 0.0000 2.0723
2.0776 0.0000 4.9905
2.0776 0.0000 7.9087
0.0000 0.0000 9.9810
0.0000 2.0776 2.0723
0.0000 2.0776 4.9905
0.0000 2.0776 7.9087
```

***

[2]
Simulated X-ray powder pattern of NaCa2Si3HO9 for Cu Kα (weighted mean of Kα1 and Kα2), from a cell relaxed with GGA-PBE.
Intensities are scaled so that the largest is 100.

Most intense lines, 10° ≤ 2θ ≤ 90°, by intensity:
d_spacing, I (rel.)
2.941, 100
2.930, 93
3.116, 78
1.772, 44
3.349, 42
3.302, 34
2.185, 31
2.322, 28
3.191, 27
2.618, 24
2.764, 22
1.737, 22

Crystal structure
```
NaCa2Si3HO9
1.0
7.0894 0.0000 0.0000
-0.0728 7.1108 0.0000
-1.7322 -0.7577 7.8554
Na Ca Si H O
2 4 6 2 18
Cartesian
0.9477 0.7921 3.5217
4.3366 5.5610 4.3336
-0.8586 3.9306 6.7145
2.6584 2.4299 1.2028
2.6259 3.9231 6.6526
6.1429 2.4224 1.1409
-0.6646 0.5752 6.1401
0.8408 4.2452 3.5300
2.7743 5.8504 1.6814
2.5101 0.5027 6.1739
4.4436 2.1079 4.3254
5.9490 5.7779 1.7153
0.7102 0.0916 1.3101
4.5742 6.2614 6.5452
-1.4527 6.2164 6.3925
-0.5078 5.1838 3.1358
-0.8438 1.6215 7.3587
0.8375 2.9157 2.5917
0.8573 3.9708 5.1224
0.9091 0.2557 5.7856
2.1296 0.1666 1.4231
2.6504 4.7752 0.4652
2.1681 5.1934 3.1030
3.1163 1.1596 4.7524
2.6340 1.5779 7.3902
3.1548 6.1864 6.4322
4.3752 6.0974 2.0697
4.4271 2.3823 2.7329
4.4468 3.4373 5.2637
6.1282 4.7316 0.4967
5.7921 1.1693 4.7195
6.7370 0.1367 1.4628
```

***

[3]
Simulated X-ray powder pattern of Ac2CdIn3Hg6 for Cu Kα (weighted mean of Kα1 and Kα2), from a cell relaxed with GGA-PBE.
Intensities are scaled so that the largest is 100.

Most intense lines, 10° ≤ 2θ ≤ 90°, by intensity:
d_spacing, I (rel.)
2.406, 100
3.183, 66
3.344, 65
2.473, 63
2.714, 52
3.287, 50
2.250, 46
2.546, 41
4.650, 41
1.702, 35
1.749, 27
1.757, 26

Crystal structure
```
Ac2CdIn3Hg6
1.0
4.8130 0.0000 0.0000
0.0000 4.8130 0.0000
0.0000 0.0000 17.9972
Ac Cd In Hg
2 1 3 6
Cartesian
0.0000 0.0000 4.2555
0.0000 0.0000 13.7416
0.0000 0.0000 0.0000
2.4065 2.4065 3.4308
2.4065 2.4065 8.9986
2.4065 2.4065 14.5663
0.0000 2.4065 1.6589
0.0000 2.4065 16.3383
2.4065 0.0000 1.6589
2.4065 0.0000 16.3383
2.4065 2.4065 6.2332
2.4065 2.4065 11.7639
```

***

[4]
Simulated X-ray powder pattern of RbTmMnSe3 for Cu Kα (weighted mean of Kα1 and Kα2), from a cell relaxed with GGA-PBE.
Intensities are scaled so that the largest is 100.

Most intense lines, 10° ≤ 2θ ≤ 90°, by intensity:
d_spacing, I (rel.)
7.776, 100
3.117, 65
2.269, 52
2.795, 51
3.251, 51
2.735, 35
4.474, 32
2.087, 28
1.660, 23
1.815, 23
3.302, 21
2.342, 19

Crystal structure
```
RbTmMnSe3
1.0
4.1749 0.0000 0.0000
0.0000 10.9414 0.0000
-2.0868 0.0000 7.7758
Rb Tm Mn Se
2 2 2 6
Cartesian
0.0006 2.7354 3.8015
2.0876 8.2061 3.9743
2.0875 0.0000 0.0000
2.0875 5.4707 0.0000
-0.0014 8.2061 0.5626
2.0896 2.7354 7.2132
0.0003 6.0919 1.8583
0.0003 10.3202 1.8583
0.0002 8.2061 6.8399
2.0879 2.7354 0.9359
2.0879 0.6212 5.9175
2.0879 4.8495 5.9175
```

***

[5]
Simulated X-ray powder pattern of MgZn6Ga8 for Cu Kα (weighted mean of Kα1 and Kα2), from a cell relaxed with GGA-PBE.
Intensities are scaled so that the largest is 100.

Most intense lines, 10° ≤ 2θ ≤ 90°, by intensity:
d_spacing, I (rel.)
2.292, 100
2.181, 89
1.580, 29
1.279, 27
3.777, 25
3.160, 22
1.347, 19
1.259, 13
1.146, 12
1.739, 11
2.884, 9
1.090, 8

Crystal structure
```
MgZn6Ga8
1.0
7.5541 0.0000 0.0000
-3.7771 6.5421 0.0000
0.0000 0.0000 5.7678
Mg Zn Ga
1 6 8
Cartesian
0.0000 0.0000 0.0000
-1.3046 2.2597 1.1382
-2.4724 4.2823 4.6297
2.6093 0.0000 1.1382
1.3046 2.2597 4.6297
4.9448 0.0000 4.6297
2.4724 4.2823 1.1382
-1.2284 2.1277 3.8434
-2.5486 4.4144 1.9244
2.4569 0.0000 3.8434
1.2284 2.1277 1.9244
0.0000 4.3614 0.0000
3.7771 2.1807 0.0000
5.0973 0.0000 1.9244
2.5486 4.4144 3.8434
```

***

[6]
Simulated X-ray powder pattern of Tb12Co5Sb for Cu Kα (weighted mean of Kα1 and Kα2), from a cell relaxed with GGA-PBE.
Intensities are scaled so that the largest is 100.

Most intense lines, 10° ≤ 2θ ≤ 90°, by intensity:
d_spacing, I (rel.)
2.773, 100
2.599, 55
2.567, 49
2.539, 49
2.988, 30
1.541, 29
3.111, 28
3.018, 27
1.677, 22
1.555, 22
2.360, 20
1.627, 17

Crystal structure
```
Tb12Co5Sb
1.0
-4.7206 4.7536 4.9418
4.7206 -4.7536 4.9418
4.7206 4.7536 -4.9418
Tb Co Sb
12 5 1
Cartesian
4.7206 2.9182 -2.9155
2.7576 1.7576 0.0000
6.6836 1.7576 0.0000
1.8206 4.7536 -1.8491
2.9000 0.0000 3.0927
0.0000 1.8354 2.0263
4.7206 2.9182 2.9155
1.8206 4.7536 1.8491
2.9000 0.0000 6.7909
-1.9630 2.9960 4.9418
1.9630 2.9960 4.9418
0.0000 1.8354 7.8573
0.0000 0.0000 0.0000
4.7206 0.0000 1.1068
0.0000 3.5916 0.0000
0.0000 5.9156 0.0000
0.0000 4.7536 3.8350
0.0000 0.0000 4.9418
```

***

[7]
Simulated X-ray powder pattern of CuNi14Pd for Cu Kα (weighted mean of Kα1 and Kα2), from a cell relaxed with GGA-PBE.
Intensities are scaled so that the largest is 100.

Most intense lines, 10° ≤ 2θ ≤ 90°, by intensity:
d_spacing, I (rel.)
1.927, 100
2.108, 50
2.056, 37
1.707, 25
1.161, 17
1.260, 14
1.313, 10
1.258, 7
2.181, 7
1.496, 3
3.854, 2
2.992, 1

Crystal structure
```
CuNi14Pd
1.0
8.2252 0.0000 0.0000
0.0000 2.5158 4.3654
0.0000 -2.5158 4.3654
Cu Ni Pd
1 14 1
Cartesian
0.0000 0.0000 0.0000
0.0000 1.2521 6.5538
0.0000 -1.2521 6.5538
2.0650 0.0000 1.4668
2.0973 0.0000 5.8452
2.1120 -1.2690 3.6295
2.1120 1.2690 3.6295
4.1126 0.0000 2.9089
4.1126 -1.2605 5.0999
4.1126 0.0000 7.2782
4.1126 1.2605 5.0999
6.1132 -1.2690 3.6295
6.1132 1.2690 3.6295
6.1279 0.0000 5.8452
6.1602 0.0000 1.4668
0.0000 0.0000 4.3702
```

***

[8]
Simulated X-ray powder pattern of As4PtRh for Cu Kα (weighted mean of Kα1 and Kα2), from a cell relaxed with GGA-PBE.
Intensities are scaled so that the largest is 100.

Most intense lines, 10° ≤ 2θ ≤ 90°, by intensity:
d_spacing, I (rel.)
3.018, 100
1.831, 71
1.804, 67
2.699, 67
2.133, 64
3.011, 50
2.439, 45
3.451, 43
3.515, 38
1.817, 36
1.826, 35
2.724, 30

Crystal structure
```
As4PtRh
1.0
6.0305 0.0000 0.0000
0.0000 6.0433 0.0000
-0.1652 0.0000 6.0227
As Pt Rh
8 2 2
Cartesian
0.6104 0.7400 2.3121
0.5278 2.2816 5.3235
2.2126 3.7116 2.2986
2.1300 5.3534 5.3100
3.7354 0.6899 0.7127
3.6528 2.3317 3.7241
5.3376 3.7617 0.6992
5.2550 5.3033 3.7106
2.9327 0.0000 3.0114
3.0153 3.0216 0.0000
0.0000 0.0000 0.0000
-0.0826 3.0216 3.0114
```

***

[9]
Simulated X-ray powder pattern of Rb3OsBr8 for Cu Kα (weighted mean of Kα1 and Kα2), from a cell relaxed with GGA-PBE.
Intensities are scaled so that the largest is 100.

Most intense lines, 10° ≤ 2θ ≤ 90°, by intensity:
d_spacing, I (rel.)
3.279, 100
6.558, 67
4.052, 46
2.843, 44
5.153, 43
2.576, 43
2.766, 42
2.613, 28
2.274, 25
2.203, 23
1.718, 22
1.661, 19

Crystal structure
```
Rb3OsBr8
1.0
10.3050 0.0000 0.0000
-5.1525 8.9244 0.0000
0.0000 0.0000 9.6698
Rb Os Br
6 2 16
Cartesian
0.0000 2.6950 0.0000
-2.8186 7.5769 0.0000
2.3339 1.3475 4.8349
2.8186 7.5769 0.0000
7.9711 1.3475 4.8349
5.1525 6.2294 4.8349
0.0000 5.9496 4.3685
5.1525 2.9748 9.2034
0.0000 0.0000 2.4678
0.0000 0.0000 7.3027
-1.7593 4.9339 2.9654
0.0000 3.9112 5.8408
-1.7653 6.9688 5.8408
0.0000 5.9496 9.3069
3.3872 1.9556 1.0059
1.7593 4.9339 2.9654
0.0000 7.9811 2.9654
5.1525 0.9433 7.8003
3.3932 3.9905 7.8003
1.7653 6.9688 5.8408
5.1525 2.9748 4.4720
6.9179 1.9556 1.0059
5.1525 5.0132 1.0059
6.9118 3.9905 7.8003
```

***

[10]
Simulated X-ray powder pattern of Zr4CdP6O24 for Cu Kα (weighted mean of Kα1 and Kα2), from a cell relaxed with GGA-PBE.
Intensities are scaled so that the largest is 100.

Most intense lines, 10° ≤ 2θ ≤ 90°, by intensity:
d_spacing, I (rel.)
4.495, 100
3.856, 68
2.881, 66
2.595, 38
4.562, 32
2.034, 28
1.699, 27
7.358, 26
3.202, 24
1.928, 23
2.918, 16
1.548, 14

Crystal structure
```
Zr4CdP6O24
1.0
4.4946 2.5950 7.5056
-4.4946 2.5950 7.5056
0.0000 -5.1899 7.5056
Zr Cd P O
4 1 6 24
Cartesian
0.0000 0.0000 3.0684
0.0000 0.0000 7.9198
0.0000 0.0000 14.5969
0.0000 0.0000 19.4483
0.0000 0.0000 11.2583
-3.1263 -0.3980 9.4649
-1.2185 -2.9064 13.0518
1.9078 -2.5085 9.4649
-1.9078 2.5085 13.0518
1.2185 2.9064 9.4649
3.1263 0.3980 13.0518
-3.4750 -1.2232 10.7022
-3.7949 0.9823 9.4690
-2.7481 -2.7954 13.0477
-0.9262 -1.4553 6.8355
-0.6782 -3.6211 11.8145
-1.5690 -0.2096 9.4371
1.0468 -3.7776 9.4690
-0.7972 1.5297 6.8355
-2.7968 2.3979 11.8145
-0.6029 -1.4636 13.0796
0.9660 -1.2539 9.4371
1.7234 -0.0745 6.8355
-1.7234 0.0745 15.6812
-0.9660 1.2539 13.0796
0.6029 1.4636 9.4371
2.7968 -2.3979 10.7023
0.7972 -1.5297 15.6812
-1.0468 3.7776 13.0477
1.5690 0.2096 13.0796
0.6782 3.6211 10.7023
0.9262 1.4553 15.6812
2.7481 2.7954 9.4690
3.7949 -0.9823 13.0477
3.4750 1.2232 11.8145
```

***

[11]
Simulated X-ray powder pattern of MgAsF6 for Cu Kα (weighted mean of Kα1 and Kα2), from a cell relaxed with GGA-PBE.
Intensities are scaled so that the largest is 100.

Most intense lines, 10° ≤ 2θ ≤ 90°, by intensity:
d_spacing, I (rel.)
4.435, 100
3.581, 93
2.134, 73
2.913, 36
4.255, 36
1.442, 35
1.957, 29
4.840, 26
1.636, 25
2.126, 22
3.270, 16
1.790, 15

Crystal structure
```
MgAsF6
1.0
4.9878 0.0000 0.0000
0.0000 8.8707 0.0000
-1.1648 0.0000 4.8399
Mg As F
2 2 12
Cartesian
0.0000 0.0000 0.0000
2.4939 4.4353 0.0000
-0.5824 4.4353 2.4200
1.9115 0.0000 2.4200
0.3023 3.1759 3.5808
0.3023 5.6947 3.5808
0.9374 4.4353 1.2558
0.3918 0.0000 3.5841
1.0268 1.2594 1.2592
1.0268 7.6113 1.2592
2.7962 1.2594 3.5808
2.7962 7.6113 3.5808
3.4313 0.0000 1.2558
2.8857 4.4353 3.5841
3.5207 3.1759 1.2592
3.5207 5.6947 1.2592
```